This entry pairs a crystal structure of Cs2Mn2InF7 with its computed powder diffraction line list. Radiation: Cu Ka. Structure: a crystal structure in Alexandria, relaxed with PBE+U.

Peak list (8 most intense, 10 to 90 degrees two-theta, by angle)
27.90°, d = 3.198 Å, rel. 1000, (1 0 5); 28.96°, d = 3.083 Å, rel. 620, (1 1 0); 37.09°, d = 2.424 Å, rel. 329, (1 1 6); 38.26°, d = 2.352 Å, rel. 142, (0 0 10); 41.41°, d = 2.180 Å, rel. 406, (2 0 0); 48.69°, d = 1.870 Å, rel. 146, (1 1 10); 50.67°, d = 1.802 Å, rel. 379, (2 1 5); 57.65°, d = 1.599 Å, rel. 156, (2 0 10)

Structural model:
Cell lengths 4.3606, 4.3606, 23.5233 Å; angles 90.00, 90.00, 90.00 degrees
Space group I4/mmm (No. 139)
Symmetry-distinct sites (fractional):
Cs  0.0000  0.0000  0.1849 (multiplicity 4)
Mn  0.0000  0.0000  0.4090 (multiplicity 4)
In  0.0000  0.0000  0.0000 (multiplicity 2)
F  0.0000  0.0000  0.3180 (multiplicity 4)
F  0.0000  0.0000  0.5000 (multiplicity 2)
F  0.0000  0.5000  0.0904 (multiplicity 8)